This entry pairs a crystal structure of TbHoCo4 with its computed powder XRD pattern. Radiation: a wavelength of 1.5418 Å. Structure: a GGA-PBE-relaxed structure.

Cell lengths 5.0226, 5.0226, 5.0226 Å; angles 60.00, 60.00, 60.00 degrees
Fractional positions:
Tb 0.0000 0.0000 0.0000
Ho 0.2500 0.2500 0.2500
Co 0.1252 0.6249 0.6249
Co 0.6249 0.1252 0.6249
Co 0.6249 0.6249 0.1252
Co 0.6249 0.6249 0.6249

Peak list (10 most intense, 10 to 90 degrees two-theta, sorted by position)
- 21.7 deg, I = 15
- 35.8 deg, I = 66
- 42.2 deg, I = 100
- 44.2 deg, I = 14
- 56.5 deg, I = 4
- 64.2 deg, I = 24
- 68.7 deg, I = 30
- 75.8 deg, I = 22
- 79.9 deg, I = 3
- 86.7 deg, I = 11